No. 1
IrPt4Rh7: computed XRD peak list (Cu Kα (weighted mean of Kα1 and Kα2)), based on the GGA-PBE geometry in Alexandria.
Intensities are scaled so that the largest is 100.

Principal peaks in the range 10° ≤ 2θ ≤ 90°, by angle:
2theta, I (rel.)
16.45, 6.9
40.16, 100.0
46.71, 48.6
68.20, 31.2
82.20, 37.4
86.72, 11.1

Structure:
```
IrPt4Rh7
1.0
2.751 0.000 0.000
-1.375 2.382 0.000
0.000 0.000 26.938
Ir Pt Rh
1 4 7
direct
0.000 0.000 0.000
0.333 0.667 0.166
0.333 0.667 0.416
0.667 0.333 0.584
0.667 0.333 0.834
0.000 0.000 0.251
0.000 0.000 0.500
0.000 0.000 0.749
0.333 0.667 0.668
0.333 0.667 0.919
0.667 0.333 0.081
0.667 0.333 0.332
```

---

No. 2
Al4CrRe: computed XRD peak list (Cu Kα (weighted mean of Kα1 and Kα2)), based on the GGA-PBE geometry in Alexandria.
Intensities are scaled so that the largest is 100.

Principal peaks in the range 10° ≤ 2θ ≤ 90°, by angle:
2theta, I (rel.)
21.73, 67.5
25.14, 28.1
35.85, 77.8
42.31, 100.0
64.43, 27.5
68.86, 31.3

Structure:
```
Al4CrRe
1.0
0.000 3.542 3.542
3.542 0.000 3.542
3.542 3.542 0.000
Al Cr Re
4 1 1
direct
0.125 0.125 0.125
0.125 0.125 0.625
0.125 0.625 0.125
0.625 0.125 0.125
0.750 0.750 0.750
0.500 0.500 0.500
```

---

No. 3
PmTa3O9: computed XRD peak list (Cu Kα (weighted mean of Kα1 and Kα2)), based on the GGA-PBE geometry in Alexandria.
Intensities are scaled so that the largest is 100.

Principal peaks in the range 10° ≤ 2θ ≤ 90°, by angle:
2theta, I (rel.)
23.44, 69.0
26.50, 100.0
27.64, 75.1
30.98, 80.2
33.14, 57.4
47.97, 46.2

Structure:
```
PmTa3O9
1.0
5.411 0.000 0.000
0.000 7.591 0.000
-0.356 0.000 8.305
Pm Ta O
2 6 18
direct
0.034 0.250 0.434
0.966 0.750 0.566
0.000 0.000 0.000
0.000 0.500 0.000
0.473 0.007 0.698
0.473 0.493 0.698
0.527 0.507 0.302
0.527 0.993 0.302
0.086 0.250 0.982
0.154 0.559 0.787
0.154 0.941 0.787
0.263 0.539 0.468
0.263 0.961 0.468
0.319 0.548 0.123
0.319 0.952 0.123
0.349 0.250 0.659
0.435 0.250 0.314
0.565 0.750 0.686
0.651 0.750 0.341
0.681 0.048 0.877
0.681 0.452 0.877
0.737 0.039 0.532
0.737 0.461 0.532
0.846 0.059 0.213
0.846 0.441 0.213
0.914 0.750 0.018
```

---

> What is the formula in the third record?

PmTa3O9